1.
Theoretical PXRD pattern of RbAcSO6 for Cu Kα (weighted mean of Kα1 and Kα2), from DFT lattice parameters and positions (PBE).
Peak positions follow from Bragg's law for the DFT cell and can differ from measured ones.

The 10 most intense peaks (2θ from 10° to 90°), sorted by position:
| 2θ (°) | d (Å) | I_rel |
| --- | --- | --- |
| 16.24 | 5.458 | 24 |
| 18.84 | 4.711 | 28 |
| 24.97 | 3.566 | 100 |
| 32.93 | 2.720 | 36 |
| 38.14 | 2.359 | 29 |
| 41.77 | 2.163 | 42 |
| 47.18 | 1.926 | 23 |
| 51.26 | 1.782 | 20 |
| 54.18 | 1.693 | 23 |
| 69.03 | 1.361 | 14 |

Atomic structure:
```
data_RbAcSO6
_space_group_name_H-M_alt 'P 1'
_space_group_IT_number 1
_cell_length_a 5.440
_cell_length_b 5.440
_cell_length_c 5.458
_cell_angle_alpha 90.00
_cell_angle_beta 90.00
_cell_angle_gamma 120.00
loop_
_space_group_symop_operation_xyz
'x,y,z'
loop_
_atom_site_label
_atom_site_type_symbol
_atom_site_fract_x
_atom_site_fract_y
_atom_site_fract_z
_atom_site_occupancy
Rb1 Rb 0.000 0.000 0.000 1
Ac1 Ac 0.667 0.333 0.526 1
S1 S 0.333 0.667 0.356 1
O1 O 0.042 0.521 0.194 1
O2 O 0.190 0.381 0.544 1
O3 O 0.190 0.810 0.544 1
O4 O 0.479 0.521 0.194 1
O5 O 0.479 0.958 0.194 1
O6 O 0.619 0.810 0.544 1
```

2.
Theoretical PXRD pattern of RbAcSe2O6 for Cu Kα (weighted mean of Kα1 and Kα2), from DFT lattice parameters and positions (PBE).
Peak positions follow from Bragg's law for the DFT cell and can differ from measured ones.

The 10 most intense peaks (2θ from 10° to 90°), sorted by position:
| 2θ (°) | d (Å) | I_rel |
| --- | --- | --- |
| 17.73 | 5.002 | 29 |
| 19.36 | 4.585 | 13 |
| 24.86 | 3.581 | 100 |
| 28.33 | 3.150 | 18 |
| 29.94 | 2.984 | 53 |
| 39.30 | 2.293 | 21 |
| 40.29 | 2.239 | 17 |
| 40.70 | 2.217 | 16 |
| 50.18 | 1.818 | 24 |
| 53.16 | 1.723 | 14 |

Atomic structure:
```
data_RbAcSe2O6
_space_group_name_H-M_alt 'P 1'
_space_group_IT_number 1
_cell_length_a 7.466
_cell_length_b 7.466
_cell_length_c 7.466
_cell_angle_alpha 47.12
_cell_angle_beta 47.12
_cell_angle_gamma 47.12
loop_
_space_group_symop_operation_xyz
'x,y,z'
loop_
_atom_site_label
_atom_site_type_symbol
_atom_site_fract_x
_atom_site_fract_y
_atom_site_fract_z
_atom_site_occupancy
Rb1 Rb 0.000 0.000 0.000 1
Ac1 Ac 0.500 0.500 0.500 1
Se1 Se 0.276 0.276 0.276 1
Se2 Se 0.724 0.724 0.724 1
O1 O 0.046 0.526 0.706 1
O2 O 0.294 0.954 0.474 1
O3 O 0.474 0.294 0.954 1
O4 O 0.526 0.706 0.046 1
O5 O 0.706 0.046 0.526 1
O6 O 0.954 0.474 0.294 1
```

3.
Theoretical PXRD pattern of RbAc2SeO5 for Cu Kα (weighted mean of Kα1 and Kα2), from DFT lattice parameters and positions (PBE).
Peak positions follow from Bragg's law for the DFT cell and can differ from measured ones.

The 10 most intense peaks (2θ from 10° to 90°), sorted by position:
| 2θ (°) | d (Å) | I_rel |
| --- | --- | --- |
| 14.22 | 6.230 | 32 |
| 28.33 | 3.150 | 100 |
| 28.66 | 3.115 | 23 |
| 34.81 | 2.578 | 11 |
| 34.99 | 2.565 | 41 |
| 45.69 | 1.986 | 11 |
| 45.83 | 1.980 | 20 |
| 50.58 | 1.804 | 11 |
| 52.26 | 1.750 | 20 |
| 56.57 | 1.627 | 14 |

Atomic structure:
```
data_RbAc2SeO5
_space_group_name_H-M_alt 'P 1'
_space_group_IT_number 1
_cell_length_a 8.086
_cell_length_b 8.086
_cell_length_c 8.086
_cell_angle_alpha 126.41
_cell_angle_beta 126.41
_cell_angle_gamma 79.21
loop_
_space_group_symop_operation_xyz
'x,y,z'
loop_
_atom_site_label
_atom_site_type_symbol
_atom_site_fract_x
_atom_site_fract_y
_atom_site_fract_z
_atom_site_occupancy
Rb1 Rb 0.250 0.250 0.000 1
Rb2 Rb 0.750 0.750 0.000 1
Ac1 Ac 0.179 0.679 0.859 1
Ac2 Ac 0.321 0.179 0.500 1
Ac3 Ac 0.679 0.821 0.500 1
Ac4 Ac 0.821 0.321 0.141 1
Se1 Se 0.250 0.750 0.500 1
Se2 Se 0.750 0.250 0.500 1
O1 O 0.000 0.000 0.000 1
O2 O 0.008 0.248 0.500 1
O3 O 0.248 0.748 0.239 1
O4 O 0.252 0.492 0.500 1
O5 O 0.492 0.992 0.239 1
O6 O 0.500 0.500 0.000 1
O7 O 0.508 0.008 0.761 1
O8 O 0.748 0.508 0.500 1
O9 O 0.752 0.252 0.761 1
O10 O 0.992 0.752 0.500 1
```